For YFeF5, a cell relaxed with GGA+U gives the computed powder X-ray diffraction pattern in this record (Cu Kα (weighted mean of Kα1 and Kα2)).

Largest 8 diffraction maxima, sorted by position, 10 to 80 degrees two-theta:
- 2θ 21.38, I = 100
- 2θ 25.98, I = 44
- 2θ 26.71, I = 96
- 2θ 43.56, I = 29
- 2θ 46.27, I = 29
- 2θ 47.61, I = 19
- 2θ 51.41, I = 21
- 2θ 51.61, I = 22

Atomic structure:
```
YFeF5
1.0
4.5547 -3.4299 0.0000
4.5547 3.4299 0.0000
-3.1277 0.0000 6.9710
Y Fe F
2 2 10
direct
0.0507 0.9493 0.7500
0.9493 0.0507 0.2500
0.5000 0.5000 0.0000
0.5000 0.5000 0.5000
0.1738 0.8090 0.0364
0.1910 0.8262 0.4636
0.2346 0.2846 0.3746
0.2846 0.2346 0.8746
0.3775 0.6225 0.7500
0.6225 0.3775 0.2500
0.7154 0.7654 0.1254
0.7654 0.7154 0.6254
0.8090 0.1738 0.5364
0.8262 0.1910 0.9636
```